1.
# Tb6Y5Th2
Theoretical X-ray diffraction stick pattern, copper Kα. Input: a cell relaxed with GGA-PBE.
Peak positions follow from Bragg's law for the DFT cell and can differ from measured ones.

Main lines, in order of rising 2θ (2θ = 10–90°):
29.16°, intensity 21, hkl 1 3 1
30.68°, intensity 19, hkl 2 2 1
31.08°, intensity 47, hkl 1 7 0
31.39°, intensity 100, hkl 4 1 0
32.19°, intensity 83, hkl 2 3 1
34.20°, intensity 54, hkl 2 4 1
34.89°, intensity 21, hkl 3 6 0
36.71°, intensity 26, hkl 3 3 1
51.44°, intensity 19, hkl 1 10 1
61.23°, intensity 21, hkl 4 1 2

Crystal structure
```
data_Tb6Y5Th2
_chemical_formula_sum 'Tb12 Y10 Th4'
_cell_length_a 11.5013
_cell_length_b 20.8019
_cell_length_c 3.5745
_cell_angle_alpha 90.00
_cell_angle_beta 90.00
_cell_angle_gamma 90.00
_symmetry_space_group_name_H-M 'P b a m'
_symmetry_Int_Tables_number 55
loop_
_symmetry_equiv_pos_as_xyz
'x,y,z'
'-x,-y,-z'
'-x,-y,z'
'x,y,-z'
'x+1/2,-y+1/2,-z'
'-x+1/2,y+1/2,z'
'-x+1/2,y+1/2,-z'
'x+1/2,-y+1/2,z'
loop_
_atom_site_label
_atom_site_fract_x
_atom_site_fract_y
_atom_site_fract_z
_atom_site_occupancy
Tb1 0.0643 0.1474 0.0000 1
Tb2 0.0815 0.4381 0.0000 1
Tb3 0.1838 0.8764 0.5000 1
Y1 0.0000 0.0000 0.5000 1
Y2 0.0669 0.2936 0.5000 1
Y3 0.1883 0.5793 0.5000 1
Th1 0.1890 0.7347 0.0000 1
```

2.
# PrC6N9
Theoretical X-ray diffraction stick pattern, copper Kα. Input: a cell relaxed with GGA-PBE.
Peak positions follow from Bragg's law for the DFT cell and can differ from measured ones.

Main lines, in order of rising 2θ (2θ = 10–90°):
14.79°, intensity 36, hkl 0 2 0
15.82°, intensity 100, hkl 1 1 1
16.62°, intensity 20, hkl 0 0 2
21.45°, intensity 20, hkl 1 1 2
26.38°, intensity 34, hkl 1 3 1
28.54°, intensity 29, hkl 1 1 3
30.17°, intensity 15, hkl 1 3 2
31.96°, intensity 14, hkl 2 2 2
35.68°, intensity 14, hkl 1 3 3
36.02°, intensity 14, hkl 3 1 1

Crystal structure
```
data_PrC6N9
_chemical_formula_sum 'Pr4 C24 N36'
_cell_length_a 7.8771
_cell_length_b 11.9805
_cell_length_c 10.6654
_cell_angle_alpha 90.00
_cell_angle_beta 90.00
_cell_angle_gamma 90.00
_symmetry_space_group_name_H-M 'C m c m'
_symmetry_Int_Tables_number 63
_symmetry_space_group_name_Hall '-C 2c 2'
loop_
_atom_site_label
_atom_site_fract_x
_atom_site_fract_y
_atom_site_fract_z
_atom_site_occupancy
Pr1 0.0000 0.2192 0.2500 1
C1 0.1433 0.0835 0.7500 1
C2 0.1440 0.3529 0.5542 1
N1 0.0000 0.0293 0.7500 1
N2 0.0000 0.3443 0.0049 1
N3 0.2204 0.1423 0.1003 1
N4 0.2230 0.3725 0.2500 1
```

3.
# In12GaSn6
Theoretical X-ray diffraction stick pattern, copper Kα. Input: a cell relaxed with GGA-PBE.
Peak positions follow from Bragg's law for the DFT cell and can differ from measured ones.

Main lines, in order of rising 2θ (2θ = 10–90°):
27.63°, intensity 55, hkl 1 3 1
29.09°, intensity 33, hkl 0 0 3
32.89°, intensity 100, hkl 3 2 1
36.43°, intensity 60, hkl 0 3 3
37.09°, intensity 73, hkl 2 3 2
37.61°, intensity 34, hkl 3 3 0
41.28°, intensity 23, hkl 5 0 2
60.44°, intensity 28, hkl 0 8 1
62.80°, intensity 21, hkl 5 0 5
66.51°, intensity 30, hkl 3 5 4

Crystal structure
```
data_In12GaSn6
_chemical_formula_sum 'In36 Ga3 Sn18'
_cell_length_a 14.3498
_cell_length_b 14.3498
_cell_length_c 9.2085
_cell_angle_alpha 90.00
_cell_angle_beta 90.00
_cell_angle_gamma 120.00
_symmetry_space_group_name_H-M 'R -3 m'
_symmetry_Int_Tables_number 166
_symmetry_space_group_name_Hall '-R 3 2"'
loop_
_atom_site_label
_atom_site_fract_x
_atom_site_fract_y
_atom_site_fract_z
_atom_site_occupancy
In1 0.0000 0.3833 0.0000 1
In2 0.0816 0.1632 0.7242 1
Ga1 0.0000 0.0000 0.5000 1
Sn1 0.0827 0.5414 0.7267 1
```

4.
# Pm2CdTe
Theoretical X-ray diffraction stick pattern, copper Kα. Input: a cell relaxed with GGA-PBE.
Peak positions follow from Bragg's law for the DFT cell and can differ from measured ones.

Main lines, in order of rising 2θ (2θ = 10–90°):
25.72°, intensity 41, hkl 0 1 2
30.44°, intensity 100, hkl 0 1 5
35.12°, intensity 70, hkl 1 0 7
42.74°, intensity 19, hkl 0 0 12
43.56°, intensity 63, hkl 1 1 0
54.05°, intensity 20, hkl 2 0 5
57.13°, intensity 17, hkl 0 2 7
62.66°, intensity 36, hkl 1 1 12
71.83°, intensity 17, hkl 1 2 5
74.48°, intensity 15, hkl 2 1 7

Crystal structure
```
data_Pm2CdTe
_chemical_formula_sum 'Pm6 Cd3 Te3'
_cell_length_a 4.1569
_cell_length_b 4.1569
_cell_length_c 25.3883
_cell_angle_alpha 90.00
_cell_angle_beta 90.00
_cell_angle_gamma 120.00
_symmetry_space_group_name_H-M 'R 3 m'
_symmetry_Int_Tables_number 160
_symmetry_space_group_name_Hall 'R 3 -2"'
loop_
_atom_site_label
_atom_site_fract_x
_atom_site_fract_y
_atom_site_fract_z
_atom_site_occupancy
Pm1 0.0000 0.0000 0.0000 1
Pm2 0.0000 0.0000 0.1646 1
Cd1 0.0000 0.0000 0.5817 1
Te1 0.0000 0.0000 0.7497 1
```